Entry 1:
Diffraction record for Dy3Ni8Ir. The powder XRD pattern is computed, not measured: it uses a DFT-relaxed cell (GGA-PBE, Alexandria) and copper Kα.
Intensities are scaled so that the largest is 100.

Main lines, in order of rising 2θ (2θ = 10–90°):
(hkl)	2θ/deg	I_rel
0 1 2	21.86	16
0 0 9	33.02	5
1 1 0	36.07	66
2 0 2	42.58	100
0 0 12	44.56	16
1 2 8	64.85	15
3 0 0	64.90	6
2 1 10	69.31	16
3 0 6	69.36	12
0 2 16	76.47	8
2 2 0	76.57	12
3 1 8	87.63	8

Cell: 4.9773 4.9773 24.4248 Å, 90.00 90.00 120.00°
Space group R3m (No. 160, hexagonal axes)
Unique sites:
Dy 0.0000 0.0000 0.0000
Dy 0.0000 0.0000 0.1308
Dy 0.0000 0.0000 0.5198
Ni 0.0000 0.0000 0.3194
Ni 0.0000 0.0000 0.8199
Ni 0.1675 0.3349 0.4016
Ni 0.1684 0.3369 0.9040
Ir 0.0000 0.0000 0.6401


Entry 2:
Diffraction record for Dy3Ni2Ir. The powder XRD pattern is computed, not measured: it uses a DFT-relaxed cell (GGA-PBE, Alexandria) and copper Kα.
Intensities are scaled so that the largest is 100.

Main lines, in order of rising 2θ (2θ = 10–90°):
(hkl)	2θ/deg	I_rel
1 0 1	11.21	25
1 0 2	17.76	32
2 1 1	28.17	28
2 1 2	31.45	40
0 1 3	32.45	100
1 0 4	33.02	28
4 0 2	35.99	25
3 1 2	36.37	93
4 1 1	39.95	40
2 1 4	42.37	53
0 2 0	44.15	52
3 0 5	47.44	23

Cell: 11.1389 4.1022 11.1869 Å, 90.00 90.00 90.00°
Space group Pnma (No. 62)
Unique sites:
Dy 0.0536 0.2500 0.1230
Dy 0.1185 0.7500 0.5582
Dy 0.2103 0.2500 0.8003
Ni 0.0180 0.7500 0.3041
Ni 0.1858 0.7500 0.0023
Ir 0.1314 0.2500 0.3723


Entry 3:
Diffraction record for Dy3NpIr8. The powder XRD pattern is computed, not measured: it uses a DFT-relaxed cell (GGA-PBE, Alexandria) and copper Kα.
Intensities are scaled so that the largest is 100.

Main lines, in order of rising 2θ (2θ = 10–90°):
(hkl)	2θ/deg	I_rel
0 0 6	20.31	7
1 1 0	33.47	25
1 0 10	39.47	100
0 2 4	41.30	42
2 0 8	48.06	6
3 0 0	59.83	10
2 1 10	63.87	33
2 2 0	70.32	29
2 1 16	80.16	4
1 3 10	83.73	9
4 0 4	84.93	12
2 0 20	85.01	4

Cell: 5.3572 5.3572 26.2102 Å, 90.00 90.00 120.00°
Space group R3m (No. 160, hexagonal axes)
Unique sites:
Dy 0.0000 0.0000 0.0000
Dy 0.0000 0.0000 0.1252
Dy 0.0000 0.0000 0.6259
Np 0.0000 0.0000 0.5011
Ir 0.0000 0.0000 0.3131
Ir 0.0000 0.0000 0.8130
Ir 0.0016 0.5008 0.0636
Ir 0.1677 0.3353 0.8957


Entry 4:
Diffraction record for DyIrO4. The powder XRD pattern is computed, not measured: it uses a DFT-relaxed cell (GGA-PBE, Alexandria) and copper Kα.
Intensities are scaled so that the largest is 100.

Main lines, in order of rising 2θ (2θ = 10–90°):
(hkl)	2θ/deg	I_rel
2 0 0	23.62	15
2 1 0	29.00	100
0 1 2	29.61	63
1 1 -2	30.46	26
0 2 0	33.52	28
2 1 -2	35.64	18
2 0 2	36.86	16
1 0 -4	49.45	14
2 2 2	50.67	22
4 1 0	51.44	13
1 1 4	56.33	15
4 1 2	61.31	16

Cell: 7.6279 5.3466 7.3999 Å, 90.00 99.02 90.00°
Space group P2_1/c (No. 14)
Unique sites:
Dy 0.1497 0.2181 0.3908
Ir 0.3401 0.7283 0.2009
O 0.1115 0.5227 0.1749
O 0.1887 0.0140 0.1200
O 0.3327 0.6229 0.9455
O 0.4389 0.0932 0.8087


Entry 5:
Diffraction record for Dy3IrO7. The powder XRD pattern is computed, not measured: it uses a DFT-relaxed cell (GGA-PBE, Alexandria) and copper Kα.
Intensities are scaled so that the largest is 100.

Main lines, in order of rising 2θ (2θ = 10–90°):
(hkl)	2θ/deg	I_rel
2 2 0	29.18	100
0 2 2	29.51	98
2 0 2	34.01	71
4 0 0	48.39	13
2 4 2	48.89	56
0 0 4	49.25	16
4 2 2	57.70	25
2 6 0	58.02	12
2 2 4	58.25	41
4 4 0	60.50	9
0 4 4	61.25	10
2 6 4	79.48	10

Cell: 7.5247 10.5240 7.4007 Å, 90.00 90.00 90.00°
Space group C222_1 (No. 20)
Unique sites:
Dy 0.0270 0.0000 0.0000
Dy 0.2333 0.2670 0.7545
Ir 0.0006 0.5000 0.5000
O 0.0000 0.1311 0.2500
O 0.0000 0.1369 0.7500
O 0.0000 0.4267 0.7500
O 0.1874 0.3736 0.0327
O 0.2033 0.3775 0.4752


Entry 6:
Diffraction record for Dy2PaIrO8. The powder XRD pattern is computed, not measured: it uses a DFT-relaxed cell (GGA-PBE, Alexandria) and copper Kα.
Intensities are scaled so that the largest is 100.

Main lines, in order of rising 2θ (2θ = 10–90°):
(hkl)	2θ/deg	I_rel
0 2 0	24.69	57
2 0 0	25.31	52
1 1 2	31.81	100
2 2 0	35.65	31
1 3 2	48.17	40
3 1 2	48.87	36
2 4 0	57.42	10
4 2 0	58.36	10
0 2 4	60.32	10
3 3 2	61.64	21
2 2 4	66.48	11
1 5 2	72.46	9

Cell: 7.0370 7.2122 6.7820 Å, 90.00 90.00 90.00°
Space group Cmmm (No. 65)
Unique sites:
Dy 0.0000 0.0000 0.2428
Pa 0.0000 0.5000 0.5000
Ir 0.0000 0.5000 0.0000
O 0.0000 0.3169 0.2329
O 0.1977 0.0000 0.5000
O 0.2261 0.0000 0.0000


Entry 7:
Diffraction record for SrDy2IrO8. The powder XRD pattern is computed, not measured: it uses a DFT-relaxed cell (GGA-PBE, Alexandria) and copper Kα.
Intensities are scaled so that the largest is 100.

Main lines, in order of rising 2θ (2θ = 10–90°):
(hkl)	2θ/deg	I_rel
0 1 0	12.58	10
0 1 1	21.59	12
1 0 -1	24.68	53
1 0 1	24.95	53
1 2 0	30.94	100
0 0 2	35.38	28
2 2 -1	47.54	38
2 2 1	47.85	37
1 4 1	58.51	11
0 2 3	60.70	11
3 2 0	60.82	10
0 4 2	64.47	12

Cell: 5.0692 7.0342 5.0800 Å, 90.00 90.63 90.00°
Space group P2/m (No. 10)
Unique sites:
Sr 0.0000 0.0000 0.0000
Dy 0.5000 0.2478 0.5000
Ir 0.0000 0.5000 0.0000
O 0.1885 0.3083 0.1857
O 0.2657 0.5000 0.7317
O 0.3216 0.0000 0.6752


Entry 8:
Diffraction record for Dy8IrOs2. The powder XRD pattern is computed, not measured: it uses a DFT-relaxed cell (GGA-PBE, Alexandria) and copper Kα.
Intensities are scaled so that the largest is 100.

Main lines, in order of rising 2θ (2θ = 10–90°):
(hkl)	2θ/deg	I_rel
0 0 1	16.01	39
1 3 1	31.08	84
1 1 -2	31.34	44
2 0 1	31.79	49
0 4 1	32.83	100
3 1 -1	33.18	89
0 2 2	35.45	57
2 2 -2	35.88	47
2 4 0	36.54	53
1 5 -1	39.55	80
3 3 0	40.38	50
3 3 -3	55.03	34

Cell: 8.3972 12.5370 5.8633 Å, 90.00 109.20 90.00°
Space group Cm (No. 8)
Unique sites:
Dy 0.0000 0.0000 0.0000
Dy 0.0622 0.3703 0.7950
Dy 0.1517 0.1306 0.6005
Dy 0.2206 0.5000 0.3849
Dy 0.3608 0.2147 0.1910
Ir 0.3623 0.0000 0.0472
Os 0.3561 0.3114 0.6951


Entry 9:
Diffraction record for DyPIr3. The powder XRD pattern is computed, not measured: it uses a DFT-relaxed cell (GGA-PBE, Alexandria) and copper Kα.
Intensities are scaled so that the largest is 100.

Main lines, in order of rising 2θ (2θ = 10–90°):
(hkl)	2θ/deg	I_rel
0 0 2	16.69	9
0 0 4	33.75	15
1 0 3	33.86	18
1 1 2	36.07	100
2 0 0	45.50	35
1 1 4	47.01	14
1 0 5	48.55	14
2 0 4	57.86	21
2 2 0	66.31	12
2 1 5	68.73	10
2 2 4	76.53	8
3 1 2	77.87	22

Cell: 3.9868 3.9868 10.6236 Å, 90.00 90.00 90.00°
Space group I4mm (No. 107)
Unique sites:
Dy 0.0000 0.0000 0.0000
P 0.0000 0.0000 0.6252
Ir 0.0000 0.0000 0.4154
Ir 0.0000 0.5000 0.2425


Entry 10:
Diffraction record for DyTmP2Ir5. The powder XRD pattern is computed, not measured: it uses a DFT-relaxed cell (GGA-PBE, Alexandria) and copper Kα.
Intensities are scaled so that the largest is 100.

Main lines, in order of rising 2θ (2θ = 10–90°):
(hkl)	2θ/deg	I_rel
0 0 3	24.25	39
0 0 4	32.53	13
1 1 1	32.71	25
1 1 2	35.70	100
1 1 3	40.27	18
2 0 0	45.37	42
2 0 3	52.10	21
1 1 5	52.69	30
2 2 0	66.10	14
1 1 8	77.10	18
3 1 2	77.46	22
3 1 5	89.36	14

Cell: 3.9980 3.9980 11.0088 Å, 90.00 90.00 90.00°
Space group P4/mmm (No. 123)
Unique sites:
Dy 0.0000 0.0000 0.0000
Tm 0.0000 0.0000 0.5000
P 0.5000 0.5000 0.2070
Ir 0.0000 0.5000 0.3064
Ir 0.5000 0.5000 0.0000


Entry 11:
Diffraction record for Dy2UP3Ir12. The powder XRD pattern is computed, not measured: it uses a DFT-relaxed cell (GGA-PBE, Alexandria) and copper Kα.
Intensities are scaled so that the largest is 100.

Main lines, in order of rising 2θ (2θ = 10–90°):
(hkl)	2θ/deg	I_rel
1 0 4	24.12	21
0 1 5	28.71	14
0 2 4	32.74	100
1 2 2	35.21	40
2 1 4	39.69	19
2 2 0	44.47	73
2 0 8	49.39	39
3 0 6	50.02	13
4 0 4	56.31	16
0 4 8	68.63	12
1 4 6	69.10	12
3 2 10	81.36	13

Cell: 8.1486 8.1486 17.3173 Å, 90.00 90.00 120.00°
Space group R-3m (No. 166, hexagonal axes)
Unique sites:
Dy 0.0000 0.0000 0.0942
U 0.0000 0.0000 0.5000
P 0.0000 0.5000 0.0000
Ir 0.0240 0.5120 0.8656
Ir 0.0410 0.5205 0.3649


Entry 12:
Diffraction record for DyPa3Ir4. The powder XRD pattern is computed, not measured: it uses a DFT-relaxed cell (GGA-PBE, Alexandria) and copper Kα.
Intensities are scaled so that the largest is 100.

Main lines, in order of rising 2θ (2θ = 10–90°):
(hkl)	2θ/deg	I_rel
4 0 0	32.36	85
0 2 1	33.04	100
2 2 -1	33.21	89
4 2 0	39.15	26
2 2 1	40.34	62
4 2 -1	40.76	64
0 4 0	43.67	49
2 0 -2	48.28	37
4 4 0	55.39	37
2 4 -2	67.12	27
0 6 1	73.49	19
2 2 -3	80.19	16

Cell: 11.6399 8.2913 3.7705 Å, 90.00 108.09 90.00°
Space group Cm (No. 8)
Unique sites:
Dy 0.0000 0.0000 0.0000
Pa 0.0005 0.5000 0.0026
Pa 0.2250 0.2479 0.7203
Ir 0.2613 0.5000 0.2570
Ir 0.2623 0.0000 0.2541
Ir 0.4609 0.2356 0.4638